Theoretical X-ray powder pattern
Compound: NaGe4Se7
Radiation: Cu Kα (weighted mean of Kα1 and Kα2)
Structure: the GGA-PBE geometry in Alexandria
Neutral-atom scattering factors, no anomalous dispersion.

Crystal structure
abc: 17.011 6.259 6.299
angles: 90.00 90.00 90.00
Fractional positions:
Na: 0.000 0.201 0.000
Na: 0.500 0.799 0.500
Ge: 0.107 0.684 0.328
Ge: 0.250 0.222 0.377
Ge: 0.250 0.778 0.877
Ge: 0.393 0.316 0.828
Ge: 0.607 0.316 0.828
Ge: 0.750 0.222 0.377
Ge: 0.750 0.778 0.877
Ge: 0.893 0.684 0.328
Se: 0.000 0.864 0.510
Se: 0.093 0.765 0.962
Se: 0.095 0.314 0.400
Se: 0.237 0.811 0.452
Se: 0.263 0.189 0.952
Se: 0.405 0.686 0.900
Se: 0.407 0.235 0.462
Se: 0.500 0.136 0.010
Se: 0.593 0.235 0.462
Se: 0.595 0.686 0.900
Se: 0.737 0.189 0.952
Se: 0.763 0.811 0.452
Se: 0.905 0.314 0.400
Se: 0.907 0.765 0.962

Top 10 peaks for 10° ≤ 2θ ≤ 90°, by angle:
2θ/deg, intensity
15.0, 100
28.3, 82
28.5, 77
29.1, 49
31.6, 45
37.6, 29
40.6, 37
42.9, 34
43.1, 31
50.6, 32


Theoretical X-ray powder pattern
Compound: BaTc2O4
Radiation: Cu Kα (weighted mean of Kα1 and Kα2)
Structure: the GGA-PBE geometry in Alexandria
Neutral-atom scattering factors, no anomalous dispersion.

Crystal structure
abc: 5.441 5.441 5.441
angles: 102.30 102.30 125.03
Fractional positions:
Ba: 0.000 0.000 0.000
Tc: 0.250 0.750 0.500
Tc: 0.750 0.250 0.500
O: 0.183 0.631 0.814
O: 0.369 0.183 0.552
O: 0.631 0.817 0.448
O: 0.817 0.369 0.186

Top 10 peaks for 10° ≤ 2θ ≤ 90°, by angle:
2θ/deg, intensity
18.4, 22
22.0, 48
26.1, 100
34.4, 49
37.3, 47
40.5, 65
53.7, 13
56.2, 64
60.7, 24
81.5, 18


Theoretical X-ray powder pattern
Compound: Ca2RuO4
Radiation: Cu Kα (weighted mean of Kα1 and Kα2)
Structure: the GGA-PBE geometry in Alexandria
Neutral-atom scattering factors, no anomalous dispersion.

Crystal structure
abc: 5.435 5.580 12.009
angles: 90.00 90.00 90.00
Fractional positions:
Ca: 0.010 0.056 0.151
Ca: 0.010 0.444 0.651
Ca: 0.490 0.556 0.151
Ca: 0.490 0.944 0.651
Ca: 0.510 0.056 0.349
Ca: 0.510 0.444 0.849
Ca: 0.990 0.556 0.349
Ca: 0.990 0.944 0.849
Ru: 0.000 0.000 0.500
Ru: 0.000 0.500 0.000
Ru: 0.500 0.000 0.000
Ru: 0.500 0.500 0.500
O: 0.072 0.024 0.667
O: 0.072 0.476 0.167
O: 0.198 0.201 0.972
O: 0.198 0.299 0.472
O: 0.302 0.701 0.972
O: 0.302 0.799 0.472
O: 0.428 0.524 0.667
O: 0.428 0.976 0.167
O: 0.572 0.024 0.833
O: 0.572 0.476 0.333
O: 0.698 0.201 0.528
O: 0.698 0.299 0.028
O: 0.802 0.701 0.528
O: 0.802 0.799 0.028
O: 0.928 0.524 0.833
O: 0.928 0.976 0.333

Top 10 peaks for 10° ≤ 2θ ≤ 90°, by angle:
2θ/deg, intensity
14.8, 49
24.0, 35
32.1, 100
33.0, 28
44.3, 18
45.3, 15
46.7, 25
57.2, 20
58.3, 18
67.1, 14


Theoretical X-ray powder pattern
Compound: BaS6I2
Radiation: Cu Kα (weighted mean of Kα1 and Kα2)
Structure: the GGA-PBE geometry in Alexandria
Neutral-atom scattering factors, no anomalous dispersion.

Crystal structure
abc: 5.283 7.736 8.387
angles: 76.10 77.44 82.83
Fractional positions:
Ba: 0.000 0.000 0.000
S: 0.084 0.394 0.090
S: 0.135 0.425 0.578
S: 0.201 0.609 0.696
S: 0.799 0.391 0.304
S: 0.865 0.575 0.422
S: 0.916 0.606 0.910
I: 0.414 0.972 0.272
I: 0.586 0.028 0.728

Top 10 peaks for 10° ≤ 2θ ≤ 90°, by angle:
2θ/deg, intensity
11.8, 100
23.8, 100
24.8, 41
25.3, 47
25.9, 63
30.4, 61
30.7, 78
30.9, 54
34.5, 39
46.6, 38


Theoretical X-ray powder pattern
Compound: PuMn3C
Radiation: Cu Kα (weighted mean of Kα1 and Kα2)
Structure: the GGA-PBE geometry in Alexandria
Neutral-atom scattering factors, no anomalous dispersion.

Crystal structure
abc: 7.622 7.622 4.807
angles: 90.00 90.00 151.48
Fractional positions:
Pu: 0.067 0.933 0.750
Pu: 0.933 0.067 0.250
Mn: 0.138 0.862 0.250
Mn: 0.293 0.707 0.027
Mn: 0.293 0.707 0.473
Mn: 0.707 0.293 0.527
Mn: 0.707 0.293 0.973
Mn: 0.862 0.138 0.750
C: 0.399 0.601 0.750
C: 0.601 0.399 0.250

Top 10 peaks for 10° ≤ 2θ ≤ 90°, by angle:
2θ/deg, intensity
22.1, 37
24.5, 100
30.5, 67
35.4, 83
38.8, 38
39.4, 39
41.2, 26
43.3, 64
45.2, 66
48.5, 30


Theoretical X-ray powder pattern
Compound: CsAsAuSe2
Radiation: Cu Kα (weighted mean of Kα1 and Kα2)
Structure: the GGA-PBE geometry in Alexandria
Neutral-atom scattering factors, no anomalous dispersion.

Crystal structure
abc: 8.360 6.524 5.868
angles: 90.00 108.39 90.00
Fractional positions:
Cs: 0.000 0.236 0.250
Cs: 0.000 0.764 0.750
As: 0.500 0.000 0.000
As: 0.500 0.000 0.500
Au: 0.500 0.380 0.250
Au: 0.500 0.620 0.750
Se: 0.272 0.299 0.868
Se: 0.272 0.701 0.368
Se: 0.728 0.299 0.632
Se: 0.728 0.701 0.132

Top 10 peaks for 10° ≤ 2θ ≤ 90°, by angle:
2θ/deg, intensity
11.2, 61
21.0, 25
22.4, 30
26.9, 100
29.6, 19
32.0, 29
34.5, 39
41.4, 22
45.8, 21
47.6, 22